This entry pairs a crystal structure of Mn2Fe21B6 with its theoretical X-ray powder pattern. Radiation: Cu Kα (weighted mean of Kα1 and Kα2). Structure: a cell relaxed with GGA-PBE.
No peak broadening, texture or thermal motion is included.

Principal peaks in the range 10 to 90 degrees two-theta, sorted by position:
two_theta	d (Å)	I/Imax
38.1	2.363	22
41.9	2.157	27
44.6	2.034	100
48.7	1.868	21
51.1	1.786	27
51.9	1.761	12
57.9	1.593	7
76.5	1.245	21
78.4	1.220	12
83.3	1.160	7

Atomic structure:
Lattice parameters (Å, degrees): 10.567 10.567 10.567 90.00 90.00 90.00
Space group Fm-3m (No. 225)
Inequivalent atoms, fractional coordinates:
Mn 0.250 0.250 0.250
Fe 0.000 0.000 0.000
Fe 0.000 0.171 0.171
Fe 0.118 0.118 0.382
B 0.000 0.000 0.276